RbPrAg2Cl8: simulated X-ray diffraction stick pattern (Cu Kα, 1.54184 Å), based on a crystal structure in Alexandria, relaxed with GGA-PBE.
Kinematic intensities with the Lorentz-polarization factor, no thermal factor.

Principal peaks in the range 2θ from 10° to 80°, low angle first:
2θ = 21.79°, d = 4.079 Å, intensity 100.0; 2θ = 23.85°, d = 3.731 Å, intensity 14.7; 2θ = 25.87°, d = 3.444 Å, intensity 14.0; 2θ = 29.61°, d = 3.017 Å, intensity 10.7; 2θ = 35.47°, d = 2.531 Å, intensity 36.8; 2θ = 36.91°, d = 2.435 Å, intensity 18.6; 2θ = 40.73°, d = 2.215 Å, intensity 26.0; 2θ = 43.27°, d = 2.091 Å, intensity 44.7; 2θ = 44.42°, d = 2.039 Å, intensity 17.7; 2θ = 56.09°, d = 1.640 Å, intensity 25.3

a = 8.9116 Å, b = 8.9116 Å, c = 8.9116 Å
α = 134.53°, β = 134.53°, γ = 66.26°
Atoms (fractional coordinates):
1 Rb 0.0000 0.0000 0.0000
2 Pr 0.2500 0.7500 0.5000
3 Ag 0.5000 0.5000 0.0000
4 Ag 0.7500 0.2500 0.5000
5 Cl 0.2817 0.6951 0.1592
6 Cl 0.3049 0.4641 0.5866
7 Cl 0.4020 0.0245 0.0442
8 Cl 0.5359 0.1225 0.8408
9 Cl 0.6422 0.5980 0.6224
10 Cl 0.8775 0.7183 0.4134
11 Cl 0.9755 0.0197 0.3776
12 Cl 0.9803 0.3578 0.9558

Li2NpTl3F9: simulated X-ray diffraction stick pattern (Cu Kα, 1.54184 Å), based on a crystal structure in Alexandria, relaxed with GGA-PBE.
Kinematic intensities with the Lorentz-polarization factor, no thermal factor.

Principal peaks in the range 2θ from 10° to 80°, low angle first:
2θ = 16.92°, d = 5.241 Å, intensity 24.6; 2θ = 20.42°, d = 4.349 Å, intensity 61.3; 2θ = 28.54°, d = 3.127 Å, intensity 100.0; 2θ = 29.52°, d = 3.026 Å, intensity 77.5; 2θ = 36.17°, d = 2.484 Å, intensity 28.1; 2θ = 41.53°, d = 2.175 Å, intensity 54.6; 2θ = 51.77°, d = 1.766 Å, intensity 40.7; 2θ = 52.38°, d = 1.747 Å, intensity 16.6; 2θ = 56.14°, d = 1.638 Å, intensity 29.2; 2θ = 68.96°, d = 1.362 Å, intensity 17.6

a = 6.0512 Å, b = 6.0512 Å, c = 7.7949 Å
α = 90.00°, β = 90.00°, γ = 120.00°
Atoms (fractional coordinates):
1 Li 0.3333 0.6667 0.1465
2 Li 0.6667 0.3333 0.8535
3 Np 0.0000 0.0000 0.5000
4 Tl 0.0000 0.0000 0.0000
5 Tl 0.3333 0.6667 0.7472
6 Tl 0.6667 0.3333 0.2528
7 F 0.0000 0.5000 0.0000
8 F 0.1650 0.3301 0.3304
9 F 0.1650 0.8350 0.3304
10 F 0.3301 0.1650 0.6696
11 F 0.5000 0.0000 0.0000
12 F 0.5000 0.5000 0.0000
13 F 0.6699 0.8350 0.3304
14 F 0.8350 0.1650 0.6696
15 F 0.8350 0.6699 0.6696

Na8HgSb2: simulated X-ray diffraction stick pattern (Cu Kα, 1.54184 Å), based on a crystal structure in Alexandria, relaxed with GGA-PBE.
Kinematic intensities with the Lorentz-polarization factor, no thermal factor.

Principal peaks in the range 2θ from 10° to 80°, low angle first:
2θ = 11.82°, d = 7.490 Å, intensity 22.4; 2θ = 19.87°, d = 4.469 Å, intensity 81.3; 2θ = 20.08°, d = 4.423 Å, intensity 36.0; 2θ = 21.44°, d = 4.145 Å, intensity 57.0; 2θ = 25.62°, d = 3.477 Å, intensity 25.8; 2θ = 32.38°, d = 2.765 Å, intensity 37.9; 2θ = 32.76°, d = 2.733 Å, intensity 100.0; 2θ = 34.65°, d = 2.589 Å, intensity 27.5; 2θ = 35.02°, d = 2.562 Å, intensity 22.2; 2θ = 41.11°, d = 2.196 Å, intensity 21.6

a = 8.7026 Å, b = 8.7026 Å, c = 8.8458 Å
α = 120.49°, β = 120.49°, γ = 34.61°
Atoms (fractional coordinates):
1 Na 0.9997 0.9997 0.1823
2 Na 0.0003 0.0003 0.8177
3 Na 0.1475 0.1475 0.6466
4 Na 0.3377 0.3377 0.0490
5 Na 0.3382 0.3382 0.6267
6 Na 0.6618 0.6618 0.3733
7 Na 0.6623 0.6623 0.9510
8 Na 0.8525 0.8525 0.3534
9 Hg 0.5000 0.5000 0.5000
10 Sb 0.1986 0.1986 0.1990
11 Sb 0.8014 0.8014 0.8010

Sm3Si2S8Br: simulated X-ray diffraction stick pattern (Cu Kα, 1.54184 Å), based on a crystal structure in Alexandria, relaxed with GGA-PBE.
Kinematic intensities with the Lorentz-polarization factor, no thermal factor.

Principal peaks in the range 2θ from 10° to 80°, low angle first:
2θ = 16.46°, d = 5.384 Å, intensity 100.0; 2θ = 21.36°, d = 4.160 Å, intensity 58.6; 2θ = 23.21°, d = 3.832 Å, intensity 63.0; 2θ = 24.68°, d = 3.607 Å, intensity 77.2; 2θ = 26.21°, d = 3.400 Å, intensity 52.9; 2θ = 33.02°, d = 2.713 Å, intensity 85.7; 2θ = 34.46°, d = 2.603 Å, intensity 48.3; 2θ = 35.00°, d = 2.564 Å, intensity 52.8; 2θ = 39.36°, d = 2.289 Å, intensity 75.7; 2θ = 40.79°, d = 2.212 Å, intensity 57.7

a = 8.7501 Å, b = 8.7501 Å, c = 10.8859 Å
α = 97.59°, β = 97.59°, γ = 51.89°
Atoms (fractional coordinates):
1 Sm 0.1179 0.8821 0.7500
2 Sm 0.1762 0.4250 0.3169
3 Sm 0.4250 0.1762 0.8169
4 Sm 0.5750 0.8238 0.1831
5 Sm 0.8238 0.5750 0.6831
6 Sm 0.8821 0.1179 0.2500
7 Si 0.1228 0.1949 0.0274
8 Si 0.1949 0.1228 0.5274
9 Si 0.8051 0.8772 0.4726
10 Si 0.8772 0.8051 0.9726
11 S 0.0511 0.2419 0.8349
12 S 0.0949 0.7719 0.4576
13 S 0.1081 0.6033 0.8556
14 S 0.2148 0.3530 0.5863
15 S 0.2281 0.9051 0.0424
16 S 0.2419 0.0511 0.3349
17 S 0.3530 0.2148 0.0863
18 S 0.3967 0.8919 0.6444
19 S 0.6033 0.1081 0.3556
20 S 0.6470 0.7852 0.9137
21 S 0.7581 0.9489 0.6651
22 S 0.7719 0.0949 0.9576
23 S 0.7852 0.6470 0.4137
24 S 0.8919 0.3967 0.1444
25 S 0.9051 0.2281 0.5424
26 S 0.9489 0.7581 0.1651
27 Br 0.4948 0.5052 0.2500
28 Br 0.5052 0.4948 0.7500

Q: What is the formula in the fourth record?
A: Sm3Si2S8Br